GdH6C4NO9: computed PXRD pattern (CuKα), based on DFT lattice parameters and positions (GGA-PBE).

```
42
Lattice="7.953 0.000 0.000 0.000 6.151 0.000 -7.885 0.000 9.545" Properties=species:S:1:pos:R:3 pbc="T T T"
Gd -1.971 0.638 2.386
Gd -5.913 5.513 7.158
H -5.712 2.551 7.925
H -1.769 3.600 3.152
H -2.433 2.371 6.476
H 1.509 3.780 1.704
H 1.310 2.582 2.888
H -2.633 3.569 7.660
H 2.701 2.582 1.885
H -1.242 3.569 6.657
H -1.441 2.371 7.841
H 2.501 3.780 3.068
H 1.837 2.551 6.392
H 5.780 3.600 1.620
C -3.644 0.588 5.178
C 0.298 5.563 0.406
C 3.609 0.679 0.126
C -0.333 5.472 4.898
C 0.401 0.679 4.646
C -3.541 5.472 9.419
C -0.230 0.588 9.139
C 3.712 5.563 4.367
N -1.937 2.974 7.158
N 2.005 3.177 2.386
O -1.971 3.017 2.386
O -5.913 3.134 7.158
O -2.849 1.374 4.576
O -6.792 4.777 9.348
O -3.983 0.684 6.393
O -0.040 5.467 1.620
O -5.205 0.990 8.869
O -1.262 5.161 4.097
O 0.025 1.371 3.653
O -3.917 4.780 8.425
O 3.985 1.371 1.120
O 0.043 4.780 5.892
O 1.330 0.990 5.448
O 5.273 5.161 0.676
O 0.108 0.684 7.924
O 4.051 5.467 3.152
O 6.860 1.374 0.196
O 2.917 4.777 4.969
```

Top 8 peaks for 15° ≤ 2θ ≤ 90°, sorted by position:
17.2°, intensity 31, hkl 0 1 1; 18.2°, intensity 34, hkl 1 1 -1; 20.5°, intensity 100, hkl 1 1 0; 26.2°, intensity 29, hkl 1 1 -3; 28.3°, intensity 33, hkl 2 1 -1; 29.3°, intensity 28, hkl 2 0 -4; 36.6°, intensity 35, hkl 1 2 -3; 38.1°, intensity 36, hkl 2 2 -1

GdPH5CO7: computed PXRD pattern (CuKα), based on DFT lattice parameters and positions (GGA-PBE).

```
30
Lattice="6.608 0.000 0.000 -0.046 7.000 0.000 -0.858 -2.900 7.231" Properties=species:S:1:pos:R:3 pbc="T T T"
Gd 0.457 0.293 3.137
Gd 5.247 3.807 4.094
P 1.713 3.848 3.478
P 3.992 0.252 3.753
H 0.361 1.266 5.944
H 1.107 -0.179 6.163
H 2.170 4.084 2.170
H 3.038 1.499 0.771
H 3.074 5.900 0.665
H 2.630 -1.800 6.566
H 2.666 2.602 6.460
H 3.534 0.017 5.061
H 4.597 4.279 1.068
H 5.343 2.834 1.286
C 0.352 6.342 0.016
C 5.352 -2.241 7.214
O -0.410 2.818 6.143
O 0.847 5.988 1.120
O 0.763 2.628 3.436
O 0.797 5.037 3.888
O 0.751 0.469 5.497
O 1.877 -1.434 7.073
O 2.770 0.421 2.850
O 2.934 3.679 4.381
O 3.827 5.534 0.158
O 4.953 3.631 1.734
O 4.907 -0.937 3.343
O 4.941 1.473 3.795
O 4.857 -1.887 6.110
O 6.114 1.283 1.088
```

Top 8 peaks for 15° ≤ 2θ ≤ 90°, sorted by position:
18.7°, intensity 39, hkl 1 -1 0; 19.3°, intensity 100, hkl 1 1 -1; 24.6°, intensity 60, hkl 0 0 2; 25.5°, intensity 57, hkl 0 2 -1; 27.5°, intensity 55, hkl 0 2 0; 29.3°, intensity 47, hkl 0 2 -2; 30.2°, intensity 76, hkl 2 1 -1; 33.1°, intensity 42, hkl -2 1 1

GdH7C2SO8: computed PXRD pattern (CuKα), based on DFT lattice parameters and positions (GGA-PBE).

```
38
Lattice="6.792 0.000 0.000 2.148 6.668 0.000 0.014 3.195 8.177" Properties=species:S:1:pos:R:3 pbc="T T T"
Gd 1.119 1.402 1.056
Gd 7.835 8.461 7.122
H 1.657 5.716 5.801
H 1.364 3.365 3.482
H 2.937 7.122 4.083
H 4.464 7.011 3.630
H 3.596 3.451 2.704
H 4.130 6.422 6.729
H 4.574 4.920 2.422
H 4.380 4.943 5.755
H 4.824 3.441 1.448
H 5.358 6.412 5.473
H 4.490 2.852 4.548
H 6.017 2.741 4.094
H 7.590 6.498 4.695
H 7.297 4.147 2.376
C 3.067 4.516 0.959
C 4.083 4.072 1.949
C 4.871 5.791 6.228
C 5.887 5.347 7.218
S 2.262 2.986 6.141
S 6.692 6.877 2.036
O 1.482 6.608 5.413
O 3.211 8.778 6.125
O 2.920 5.751 0.677
O 2.318 3.658 0.363
O 1.985 4.228 6.936
O 3.554 7.218 3.323
O 2.613 3.374 4.747
O 3.397 0.942 1.428
O 5.557 8.921 6.750
O 6.341 6.489 3.430
O 5.400 2.645 4.855
O 6.969 5.635 1.242
O 6.636 6.205 7.814
O 6.034 4.112 7.500
O 5.743 1.085 2.052
O 7.472 3.255 2.764
```

Top 8 peaks for 15° ≤ 2θ ≤ 90°, sorted by position:
16.5°, intensity 81, hkl 1 0 -1; 21.2°, intensity 65, hkl 0 1 2; 22.9°, intensity 53, hkl 1 -1 0; 24.4°, intensity 42, hkl 1 0 -2; 26.1°, intensity 50, hkl 1 2 1; 27.5°, intensity 51, hkl 1 2 0; 28.2°, intensity 100, hkl 2 1 1; 29.1°, intensity 75, hkl 0 2 2

Gd2CI: computed PXRD pattern (CuKα), based on DFT lattice parameters and positions (GGA-PBE).

```
8
Lattice="3.812 0.000 0.000 -1.906 3.301 0.000 0.000 0.000 14.993" Properties=species:S:1:pos:R:3 pbc="T T T"
Gd 0.000 2.201 1.280
Gd 0.000 2.201 6.216
Gd 1.906 1.100 8.776
Gd 1.906 1.100 13.713
C 0.000 0.000 0.000
C 0.000 0.000 7.496
I 0.000 2.201 11.245
I 1.906 1.100 3.748
```

Top 8 peaks for 15° ≤ 2θ ≤ 90°, sorted by position:
27.0°, intensity 24, hkl 1 0 0; 32.5°, intensity 100, hkl 1 0 3; 35.9°, intensity 16, hkl 0 0 6; 47.7°, intensity 24, hkl 1 1 0; 58.9°, intensity 18, hkl 2 0 3; 61.2°, intensity 21, hkl 1 1 6; 62.4°, intensity 15, hkl 1 0 9; 79.1°, intensity 16, hkl 2 1 3